Structure and simulated X-ray powder pattern of SrLi2Np2O7 (a cell relaxed with PBE; Cu Ka).
Intensities are scaled so that the largest is 100.

Cell and atoms:
abc: 4.2706 4.2706 18.7667
angles: 90.00 90.00 90.00
Space group I4/mmm (No. 139)
Unique sites:
Sr 0.0000 0.0000 0.0000 x2
Li 0.0000 0.5000 0.2500 x4
Np 0.0000 0.0000 0.3856 x4
O 0.0000 0.0000 0.2774 x4
O 0.0000 0.0000 0.5000 x2
O 0.0000 0.5000 0.1011 x8

Principal peaks in the range 10° ≤ 2θ ≤ 90°, in order of rising 2θ:
2θ (°)  Rel. int.  h k l
18.9  53  0 0 4
21.3  99  1 0 1
25.3  99  1 0 3
29.6  77  1 1 0
31.7  100  1 0 5
42.3  49  2 0 0
48.6  32  0 0 10
49.2  32  1 1 8
49.9  32  2 1 3
53.9  48  2 1 5

***

Structure and simulated X-ray powder pattern of Li2NpTcO6 (a cell relaxed with PBE; Cu Ka).
Intensities are scaled so that the largest is 100.

Cell and atoms:
abc: 10.4558 8.3574 5.0275
angles: 90.00 90.82 90.00
Space group C2/c (No. 15)
Unique sites:
Li 0.2352 0.1147 0.3144 x8
Np 0.0000 0.1464 0.7500 x4
Tc 0.0000 0.4266 0.2500 x4
O 0.1066 0.3907 0.9168 x8
O 0.1116 0.2805 0.4343 x8
O 0.1169 0.0364 0.0326 x8

Principal peaks in the range 10° ≤ 2θ ≤ 90°, in order of rising 2θ:
2θ (°)  Rel. int.  h k l
17.0  100  2 0 0
22.2  15  1 1 -1
22.4  18  1 1 1
27.8  42  0 2 1
32.6  33  2 2 -1
32.9  41  2 2 1
33.3  19  1 3 0
44.5  14  4 2 -1
44.9  14  4 2 1
58.9  13  1 5 1

***

Structure and simulated X-ray powder pattern of Li4Np3TlO12 (a cell relaxed with PBE; Cu Ka).
Intensities are scaled so that the largest is 100.

Cell and atoms:
abc: 11.4669 11.4669 8.0950
angles: 90.00 90.00 120.00
Space group R32 (No. 155, hexagonal axes)
Unique sites:
Li 0.0000 0.0000 0.0000 x3
Li 0.0000 0.4374 0.0000 x9
Np 0.0000 0.5596 0.5000 x9
Tl 0.0000 0.0000 0.5000 x3
O 0.0000 0.6084 0.0000 x9
O 0.0000 0.8330 0.0000 x9
O 0.0676 0.2417 0.6955 x18

Principal peaks in the range 10° ≤ 2θ ≤ 90°, in order of rising 2θ:
2θ (°)  Rel. int.  h k l
15.5  42  1 1 0
21.0  100  0 2 1
26.2  19  2 1 1
28.5  53  2 0 2
31.2  19  2 2 0
34.4  19  1 3 1
39.6  27  3 1 2
46.2  15  2 2 3
56.4  14  1 3 4
67.0  11  7 0 1

***

Structure and simulated X-ray powder pattern of LiTmNp2O8 (a cell relaxed with PBE; Cu Ka).
Intensities are scaled so that the largest is 100.

Cell and atoms:
abc: 5.2296 5.2296 10.3252
angles: 90.00 90.00 90.00
Space group I-4m2 (No. 119)
Unique sites:
Li 0.0000 0.0000 0.0000 x2
Tm 0.0000 0.5000 0.7500 x2
Np 0.0000 0.0000 0.5000 x2
Np 0.0000 0.5000 0.2500 x2
O 0.2321 0.2477 0.3741 x16

Principal peaks in the range 10° ≤ 2θ ≤ 90°, in order of rising 2θ:
2θ (°)  Rel. int.  h k l
19.0  42  1 0 1
29.7  100  1 1 2
31.1  11  1 0 3
34.3  22  2 0 0
39.5  12  2 1 1
49.3  18  2 2 0
49.6  35  2 0 4
58.6  31  3 1 2
59.2  15  1 1 6
80.6  13  3 1 6

***

Structure and simulated X-ray powder pattern of Li2TmNpO4 (a cell relaxed with PBE; Cu Ka).
Intensities are scaled so that the largest is 100.

Cell and atoms:
abc: 4.4054 4.4054 11.1413
angles: 90.00 90.00 90.00
Space group I-4m2 (No. 119)
Unique sites:
Li 0.0000 0.0000 0.0000 x2
Li 0.0000 0.5000 0.2500 x2
Tm 0.0000 0.5000 0.7500 x2
Np 0.0000 0.0000 0.5000 x2
O 0.0000 0.0000 0.2811 x4
O 0.0000 0.5000 0.5438 x4

Principal peaks in the range 10° ≤ 2θ ≤ 90°, in order of rising 2θ:
2θ (°)  Rel. int.  h k l
21.7  100  1 0 1
31.5  29  1 0 3
32.1  23  0 0 4
32.9  51  1 1 2
41.0  26  2 0 0
45.6  17  1 0 5
46.8  27  2 1 1
52.6  15  2 1 3
53.0  22  2 0 4
57.8  14  1 1 6

***

Structure and simulated X-ray powder pattern of Li2YNpO6 (a cell relaxed with PBE; Cu Ka).
Intensities are scaled so that the largest is 100.

Cell and atoms:
abc: 5.3700 5.3700 15.5443
angles: 90.00 90.00 120.00
Space group R-3 (No. 148, hexagonal axes)
Unique sites:
Li 0.0000 0.0000 0.2018 x6
Y 0.0000 0.0000 0.0000 x3
Np 0.0000 0.0000 0.5000 x3
O 0.0076 0.3646 0.2388 x18

Principal peaks in the range 10° ≤ 2θ ≤ 90°, in order of rising 2θ:
2θ (°)  Rel. int.  h k l
17.1  16  0 0 3
19.9  23  1 0 1
22.3  100  0 1 2
30.0  46  1 0 4
33.4  28  1 1 0
40.5  18  2 0 2
45.5  17  0 2 4
48.9  34  2 -1 6
53.4  18  3 -2 2
57.5  16  3 -1 4